1.
CdIn2TeSe3: computed powder diffractogram (copper Kα), based on a cell relaxed with GGA-PBE.

Peak list (10 most intense, 2θ = 10–90°, in order of rising 2θ)
2theta, Rel. int.
25.1, 50
25.3, 100
25.9, 38
41.3, 25
41.7, 24
42.1, 24
42.4, 21
42.6, 41
49.4, 13
50.0, 13

Cell and atoms:
```
CdIn2TeSe3
1.0
6.085 0.000 0.000
-0.150 6.120 0.000
-2.902 -2.938 5.996
Cd In Te Se
1 2 1 3
Direct
0.000 0.000 0.000
0.513 0.489 0.001
0.770 0.258 0.511
0.373 0.855 0.290
0.144 0.106 0.733
0.610 0.620 0.732
0.907 0.400 0.267
```

=====

2.
AcDyB4: computed powder diffractogram (copper Kα), based on a cell relaxed with GGA-PBE.

Peak list (10 most intense, 2θ = 10–90°, in order of rising 2θ)
2theta, Rel. int.
21.1, 79
30.8, 71
31.1, 35
37.6, 100
37.9, 49
42.9, 19
53.7, 31
55.1, 18
59.7, 21
68.3, 17

Cell and atoms:
```
AcDyB4
1.0
-1.684 2.876 4.220
1.684 -2.876 4.220
1.684 2.876 -4.220
Ac Dy B
1 1 4
Direct
0.000 0.000 0.000
0.500 0.500 0.000
0.089 0.753 0.336
0.416 0.753 0.664
0.584 0.247 0.336
0.911 0.247 0.664
```

=====

3.
TcPdO3: computed powder diffractogram (copper Kα), based on a cell relaxed with GGA-PBE.

Peak list (10 most intense, 2θ = 10–90°, in order of rising 2θ)
2theta, Rel. int.
23.1, 33
31.4, 100
34.2, 95
47.1, 36
51.2, 54
59.5, 34
61.3, 29
67.2, 15
80.8, 12
87.7, 14

Cell and atoms:
```
TcPdO3
1.0
2.620 1.513 4.877
-2.620 1.513 4.877
0.000 -3.025 4.877
Tc Pd O
2 2 6
Direct
0.153 0.153 0.153
0.847 0.847 0.847
0.357 0.357 0.357
0.643 0.643 0.643
0.052 0.441 0.780
0.220 0.948 0.559
0.441 0.780 0.052
0.559 0.220 0.948
0.780 0.052 0.441
0.948 0.559 0.220
```

=====

4.
TlReNO: computed powder diffractogram (copper Kα), based on a cell relaxed with GGA-PBE.

Peak list (10 most intense, 2θ = 10–90°, in order of rising 2θ)
2theta, Rel. int.
25.4, 36
26.1, 23
31.2, 58
31.8, 100
34.5, 22
36.0, 37
45.2, 23
47.2, 19
59.1, 21
63.9, 21

Cell and atoms:
```
TlReNO
1.0
7.017 0.000 0.000
0.000 7.802 0.000
0.000 0.000 4.984
Tl Re N O
4 4 4 4
Direct
0.084 0.139 0.000
0.416 0.139 0.500
0.584 0.861 0.000
0.916 0.861 0.500
0.055 0.557 0.004
0.445 0.557 0.504
0.555 0.443 0.004
0.945 0.443 0.504
0.187 0.518 0.660
0.313 0.518 0.160
0.687 0.482 0.660
0.813 0.482 0.160
0.005 0.789 0.995
0.495 0.789 0.495
0.505 0.211 0.995
0.995 0.211 0.495
```

=====

5.
GdZr6Pb4: computed powder diffractogram (copper Kα), based on a cell relaxed with GGA-PBE.

Peak list (10 most intense, 2θ = 10–90°, in order of rising 2θ)
2theta, Rel. int.
29.0, 100
31.1, 35
33.0, 77
33.8, 57
36.6, 79
36.8, 78
38.5, 64
44.5, 51
60.1, 60
70.3, 53

Cell and atoms:
```
GdZr6Pb4
1.0
3.078 1.777 8.150
-3.078 1.777 8.150
0.000 -3.554 8.150
Gd Zr Pb
1 6 4
Direct
0.000 0.000 0.000
0.109 0.603 0.603
0.397 0.397 0.891
0.397 0.891 0.397
0.603 0.109 0.603
0.603 0.603 0.109
0.891 0.397 0.397
0.124 0.124 0.124
0.333 0.333 0.333
0.667 0.667 0.667
0.876 0.876 0.876
```

=====

6.
La2NdZn2Si4Pt2: computed powder diffractogram (copper Kα), based on a cell relaxed with GGA-PBE.

Peak list (10 most intense, 2θ = 10–90°, in order of rising 2θ)
2theta, Rel. int.
21.2, 17
27.7, 22
32.8, 36
33.2, 100
42.5, 21
43.0, 21
45.1, 23
54.7, 17
62.1, 14
64.1, 17

Cell and atoms:
```
La2NdZn2Si4Pt2
1.0
-2.102 2.125 12.560
2.102 -2.125 12.560
2.102 2.125 -12.560
La Nd Zn Si Pt
2 1 2 4 2
Direct
0.146 0.146 0.000
0.854 0.854 0.000
0.500 0.000 0.500
0.250 0.750 0.500
0.750 0.250 0.500
0.048 0.548 0.500
0.309 0.309 0.000
0.691 0.691 0.000
0.952 0.452 0.500
0.406 0.406 0.000
0.594 0.594 0.000
```

=====

7.
Sr2TaIrN4O2: computed powder diffractogram (copper Kα), based on a cell relaxed with GGA-PBE.

Peak list (10 most intense, 2θ = 10–90°, in order of rising 2θ)
2theta, Rel. int.
22.4, 23
31.5, 99
31.7, 99
31.7, 100
45.1, 27
45.3, 27
45.7, 26
56.2, 30
56.3, 30
56.6, 30

Cell and atoms:
```
Sr2TaIrN4O2
1.0
5.674 0.000 0.000
0.031 5.679 0.000
0.014 0.014 7.938
Sr Ta Ir N O
4 2 2 8 4
Direct
0.000 0.000 0.000
0.007 0.996 0.497
0.505 0.497 0.001
0.512 0.501 0.502
0.012 0.506 0.751
0.511 0.001 0.252
0.493 0.990 0.752
0.996 0.483 0.252
0.006 0.518 0.014
0.014 0.478 0.491
0.256 0.241 0.763
0.262 0.747 0.745
0.501 0.020 0.506
0.513 0.977 0.997
0.738 0.261 0.245
0.759 0.763 0.740
0.223 0.211 0.234
0.284 0.720 0.262
0.750 0.263 0.763
0.776 0.760 0.271
```

=====

8.
Pu3Zn4: computed powder diffractogram (copper Kα), based on a cell relaxed with GGA-PBE.

Peak list (10 most intense, 2θ = 10–90°, in order of rising 2θ)
2theta, Rel. int.
24.9, 17
28.5, 20
33.1, 28
37.5, 24
38.2, 100
50.8, 17
59.1, 19
68.1, 19
72.1, 19
72.6, 14

Cell and atoms:
```
Pu3Zn4
1.0
8.263 0.000 0.000
0.000 4.800 0.000
-4.126 0.000 7.164
Pu Zn
6 8
Direct
0.000 0.000 0.000
0.066 0.500 0.836
0.148 0.000 0.452
0.450 0.000 0.302
0.614 0.500 0.532
0.917 0.500 0.384
0.199 0.500 0.251
0.321 0.000 0.881
0.357 0.500 0.705
0.496 0.500 0.093
0.570 0.000 0.742
0.708 0.000 0.130
0.745 0.500 0.954
0.865 0.000 0.585
```

=====

9.
Na3Al4Au4: computed powder diffractogram (copper Kα), based on a cell relaxed with GGA-PBE.

Peak list (10 most intense, 2θ = 10–90°, in order of rising 2θ)
2theta, Rel. int.
21.6, 42
23.9, 62
25.7, 61
27.4, 100
28.3, 57
32.6, 88
35.4, 55
44.3, 63
46.1, 64
50.8, 64

Cell and atoms:
```
Na3Al4Au4
1.0
-2.158 3.695 6.920
2.158 -3.695 6.920
2.158 3.695 -6.920
Na Al Au
3 4 4
Direct
0.000 0.000 0.000
0.388 0.888 0.500
0.612 0.112 0.500
0.013 0.319 0.694
0.375 0.681 0.694
0.625 0.319 0.306
0.987 0.681 0.306
0.221 0.221 0.000
0.288 0.500 0.788
0.712 0.500 0.212
0.779 0.779 0.000
```

=====

10.
Gd3Be3W2: computed powder diffractogram (copper Kα), based on a cell relaxed with GGA-PBE.

Peak list (10 most intense, 2θ = 10–90°, in order of rising 2θ)
2theta, Rel. int.
20.6, 100
24.9, 57
30.4, 39
32.0, 33
35.1, 91
35.3, 28
38.4, 56
41.1, 54
41.8, 44
44.6, 67

Cell and atoms:
```
Gd3Be3W2
1.0
2.958 0.000 0.000
0.000 4.318 0.000
-1.399 0.000 12.713
Gd Be W
3 3 2
Direct
0.000 0.000 0.000
0.415 0.500 0.369
0.585 0.500 0.631
0.429 0.000 0.794
0.500 0.500 0.000
0.571 0.000 0.206
0.066 0.500 0.833
0.934 0.500 0.167
```

=====

11.
Dy2Ge4PdO12: computed powder diffractogram (copper Kα), based on a cell relaxed with GGA-PBE.

Peak list (10 most intense, 2θ = 10–90°, in order of rising 2θ)
2theta, Rel. int.
12.2, 21
21.6, 24
25.4, 59
28.2, 100
30.0, 48
31.7, 60
34.2, 52
34.8, 22
37.0, 42
52.6, 19

Cell and atoms:
```
Dy2Ge4PdO12
1.0
4.917 0.000 0.000
1.578 7.018 0.000
0.258 2.953 7.284
Dy Ge Pd O
2 4 1 12
Direct
0.047 0.268 0.451
0.953 0.732 0.549
0.416 0.895 0.794
0.450 0.669 0.221
0.550 0.331 0.779
0.584 0.105 0.206
0.000 0.500 0.000
0.217 0.568 0.382
0.218 0.926 0.603
0.246 0.250 0.195
0.267 0.839 0.009
0.276 0.524 0.797
0.403 0.170 0.700
0.597 0.830 0.300
0.724 0.476 0.203
0.733 0.161 0.991
0.754 0.750 0.805
0.782 0.074 0.397
0.783 0.432 0.618
```

=====

12.
La3NdAl4: computed powder diffractogram (copper Kα), based on a cell relaxed with GGA-PBE.

Peak list (10 most intense, 2θ = 10–90°, in order of rising 2θ)
2theta, Rel. int.
18.8, 20
21.4, 26
27.8, 62
30.7, 23
31.1, 34
33.8, 41
34.6, 100
36.2, 17
56.2, 25
57.6, 20

Cell and atoms:
```
La3NdAl4
1.0
6.086 0.000 0.000
0.000 5.750 0.000
-1.191 0.000 5.978
La Nd Al
3 1 4
Direct
0.000 0.000 0.000
0.316 0.500 0.031
0.670 0.500 0.674
0.640 0.000 0.355
0.157 0.250 0.514
0.157 0.750 0.514
0.462 0.000 0.817
0.852 0.500 0.213
```

=====

Copy entry 11 word for word.
Dy2Ge4PdO12: computed powder diffractogram (copper Kα), based on a cell relaxed with GGA-PBE.

Peak list (10 most intense, 2θ = 10–90°, in order of rising 2θ)
2theta, Rel. int.
12.2, 21
21.6, 24
25.4, 59
28.2, 100
30.0, 48
31.7, 60
34.2, 52
34.8, 22
37.0, 42
52.6, 19

Cell and atoms:
```
Dy2Ge4PdO12
1.0
4.917 0.000 0.000
1.578 7.018 0.000
0.258 2.953 7.284
Dy Ge Pd O
2 4 1 12
Direct
0.047 0.268 0.451
0.953 0.732 0.549
0.416 0.895 0.794
0.450 0.669 0.221
0.550 0.331 0.779
0.584 0.105 0.206
0.000 0.500 0.000
0.217 0.568 0.382
0.218 0.926 0.603
0.246 0.250 0.195
0.267 0.839 0.009
0.276 0.524 0.797
0.403 0.170 0.700
0.597 0.830 0.300
0.724 0.476 0.203
0.733 0.161 0.991
0.754 0.750 0.805
0.782 0.074 0.397
0.783 0.432 0.618
```